Diffraction record for Mn3CoP4O16. The powder diffraction line list is simulated, not measured: it uses a cell relaxed with GGA+U and Cu Kα X-rays.
Lines closer than 0.1° are merged.

Top 6 peaks for 2θ from 10° to 90°, low angle first:
two_theta	I_rel	h k l
18.08	66	0 0 2
20.28	99	1 0 1
25.14	71	1 1 -1
29.67	100	0 2 0
36.20	75	1 1 -3
36.28	33	1 1 3

Structural model:
```
data_Mn3CoP4O16
_cell_length_a 4.894
_cell_length_b 6.024
_cell_length_c 9.813
_cell_angle_alpha 90.00
_cell_angle_beta 90.16
_cell_angle_gamma 90.00
_space_group_name_H-M_alt 'P 1 m 1'
_space_group_IT_number 6
loop_
_space_group_symop_operation_xyz
'x,y,z'
'x,-y,z'
loop_
_atom_site_label
_atom_site_type_symbol
_atom_site_fract_x
_atom_site_fract_y
_atom_site_fract_z
Mn1 Mn 0.000 0.000 0.000
Mn2 Mn 0.159 0.500 0.570
Mn3 Mn 0.656 0.000 0.493
Co1 Co 0.524 0.500 0.060
P1 P 0.172 0.000 0.684
P2 P 0.472 0.000 0.181
P3 P 0.671 0.500 0.380
P4 P 0.978 0.500 0.882
O1 O 0.221 0.000 0.839
O2 O 0.288 0.500 0.909
O3 O 0.319 0.201 0.615
O4 O 0.328 0.203 0.114
O5 O 0.361 0.500 0.405
O6 O 0.425 0.000 0.337
O7 O 0.715 0.500 0.224
O8 O 0.787 0.000 0.161
O9 O 0.819 0.299 0.448
O10 O 0.827 0.300 0.951
O11 O 0.861 0.000 0.658
O12 O 0.928 0.500 0.727
```